Starting from a crystal structure in Alexandria, relaxed with GGA+U, the X-ray powder pattern of Li2CrP2O8 was simulated for a wavelength of 1.5418 Å.

Cell and atoms:
Cell lengths 4.9206, 4.9206, 7.1543 Å; angles 90.00, 90.00, 120.00 degrees
Space group P-3 (No. 147)
Inequivalent atoms, fractional coordinates:
Li1 0.3333 0.6667 0.2075 (multiplicity 2)
Cr1 0.0000 0.0000 0.5000 (multiplicity 1)
P1 0.3333 0.6667 0.7322 (multiplicity 2)
O1 0.0475 0.6930 0.6609 (multiplicity 6)
O2 0.3333 0.6667 0.9441 (multiplicity 2)

Peak list (6 most intense, 2θ = 5–70°, by angle)
| (hkl) | 2θ (°) | Rel. int. |
| --- | --- | --- |
| 0 0 1 | 12.4 | 58 |
| 0 1 1 | 24.3 | 100 |
| 0 1 2 | 32.7 | 28 |
| 1 1 0 | 36.5 | 22 |
| 1 1 1 | 38.7 | 13 |
| 2 -1 4 | 64.4 | 13 |